Theoretical X-ray diffraction stick pattern
Compound: TlAg2O2
Radiation: λ = 1.5418 Å (Cu Kα)
Structure: a DFT-relaxed cell (GGA-PBE, Alexandria)

Structure:
Cell lengths 6.297, 6.297, 6.287 Å; angles 118.43, 118.43, 89.12 degrees
Fractional positions:
Tl 0.111 0.889 0.750
Tl 0.889 0.111 0.250
Ag 0.000 0.500 0.000
Ag 0.500 0.000 0.500
Ag 0.500 0.500 0.000
Ag 0.500 0.500 0.500
O 0.132 0.262 0.745
O 0.262 0.132 0.245
O 0.738 0.868 0.755
O 0.868 0.738 0.255

The 8 most intense peaks (2θ from 15° to 90°), low angle first:
2θ 27.77, intensity 24.4
2θ 28.39, intensity 49.0
2θ 31.47, intensity 34.2
2θ 32.57, intensity 77.9
2θ 33.25, intensity 23.0
2θ 33.63, intensity 100.0
2θ 53.68, intensity 32.4
2θ 58.75, intensity 26.8

Theoretical X-ray diffraction stick pattern
Compound: TlAgO2
Radiation: λ = 1.5418 Å (Cu Kα)
Structure: a DFT-relaxed cell (GGA-PBE, Alexandria)

Structure:
Cell lengths 6.236, 6.236, 6.236 Å; angles 135.01, 135.01, 65.52 degrees
Fractional positions:
Tl 0.375 0.625 0.750
Tl 0.625 0.375 0.250
Ag 0.125 0.875 0.250
Ag 0.875 0.125 0.750
O 0.158 0.408 0.750
O 0.408 0.158 0.250
O 0.592 0.842 0.750
O 0.842 0.592 0.250

The 8 most intense peaks (2θ from 15° to 90°), low angle first:
2θ 31.53, intensity 100.0
2θ 34.20, intensity 28.7
2θ 37.70, intensity 46.7
2θ 51.81, intensity 34.5
2θ 54.38, intensity 15.7
2θ 59.56, intensity 18.9
2θ 64.23, intensity 27.2
2θ 65.83, intensity 16.4

Theoretical X-ray diffraction stick pattern
Compound: TlAg3O2
Radiation: λ = 1.5418 Å (Cu Kα)
Structure: a DFT-relaxed cell (GGA-PBE, Alexandria)

Structure:
Cell lengths 8.596, 8.596, 7.225 Å; angles 90.89, 90.89, 22.90 degrees
Fractional positions:
Tl 0.137 0.137 0.452
Tl 0.863 0.863 0.548
Ag 0.077 0.077 0.065
Ag 0.205 0.205 0.819
Ag 0.433 0.433 0.251
Ag 0.567 0.567 0.749
Ag 0.795 0.795 0.181
Ag 0.923 0.923 0.935
O 0.206 0.206 0.184
O 0.438 0.438 0.687
O 0.562 0.562 0.313
O 0.794 0.794 0.816

The 8 most intense peaks (2θ from 15° to 90°), low angle first:
2θ 30.65, intensity 78.9
2θ 32.92, intensity 53.3
2θ 33.02, intensity 100.0
2θ 34.07, intensity 43.8
2θ 36.67, intensity 82.1
2θ 38.73, intensity 59.1
2θ 45.65, intensity 54.4
2θ 53.69, intensity 41.6

Theoretical X-ray diffraction stick pattern
Compound: Tl2AgO2
Radiation: λ = 1.5418 Å (Cu Kα)
Structure: a DFT-relaxed cell (GGA-PBE, Alexandria)

Structure:
Cell lengths 8.072, 4.610, 11.386 Å; angles 90.00, 90.00, 90.00 degrees
Fractional positions:
Tl 0.070 0.250 0.164
Tl 0.239 0.750 0.370
Tl 0.261 0.250 0.870
Tl 0.430 0.750 0.664
Tl 0.570 0.250 0.336
Tl 0.739 0.750 0.130
Tl 0.761 0.250 0.630
Tl 0.930 0.750 0.836
Ag 0.143 0.250 0.572
Ag 0.357 0.750 0.072
Ag 0.643 0.250 0.928
Ag 0.857 0.750 0.428
O 0.024 0.250 0.737
O 0.246 0.750 0.902
O 0.254 0.250 0.402
O 0.476 0.750 0.237
O 0.524 0.250 0.763
O 0.746 0.750 0.598
O 0.754 0.250 0.098
O 0.976 0.750 0.263

The 8 most intense peaks (2θ from 15° to 90°), low angle first:
2θ 27.23, intensity 94.4
2θ 29.41, intensity 41.5
2θ 30.48, intensity 100.0
2θ 31.43, intensity 33.5
2θ 32.51, intensity 70.3
2θ 36.95, intensity 69.5
2θ 39.08, intensity 50.3
2θ 54.87, intensity 44.5

Theoretical X-ray diffraction stick pattern
Compound: Tl2AgO6
Radiation: λ = 1.5418 Å (Cu Kα)
Structure: a DFT-relaxed cell (GGA-PBE, Alexandria)

Structure:
Cell lengths 4.988, 4.988, 10.279 Å; angles 90.00, 90.00, 90.00 degrees
Fractional positions:
Tl 0.000 0.000 0.167
Tl 0.000 0.000 0.833
Tl 0.500 0.500 0.333
Tl 0.500 0.500 0.667
Ag 0.000 0.000 0.500
Ag 0.500 0.500 0.000
O 0.183 0.183 0.345
O 0.183 0.183 0.655
O 0.206 0.206 0.000
O 0.294 0.706 0.500
O 0.317 0.683 0.155
O 0.317 0.683 0.845
O 0.683 0.317 0.155
O 0.683 0.317 0.845
O 0.706 0.294 0.500
O 0.794 0.794 0.000
O 0.817 0.817 0.345
O 0.817 0.817 0.655

The 8 most intense peaks (2θ from 15° to 90°), low angle first:
2θ 25.25, intensity 100.0
2θ 31.68, intensity 91.6
2θ 36.01, intensity 27.9
2θ 48.71, intensity 70.4
2θ 51.85, intensity 15.9
2θ 58.52, intensity 16.8
2θ 60.04, intensity 17.9
2θ 62.05, intensity 20.0

Theoretical X-ray diffraction stick pattern
Compound: U3Tl4AgO12
Radiation: λ = 1.5418 Å (Cu Kα)
Structure: a DFT-relaxed cell (GGA-PBE, Alexandria)

Structure:
Cell lengths 7.577, 7.577, 7.577 Å; angles 109.47, 109.47, 109.47 degrees
Fractional positions:
U 0.000 0.500 0.500
U 0.500 0.000 0.500
U 0.500 0.500 0.000
Tl 0.000 0.000 0.500
Tl 0.000 0.500 0.000
Tl 0.500 0.000 0.000
Tl 0.500 0.500 0.500
Ag 0.000 0.000 0.000
O 0.000 0.278 0.278
O 0.000 0.722 0.722
O 0.250 0.500 0.750
O 0.250 0.750 0.500
O 0.278 0.000 0.278
O 0.278 0.278 0.000
O 0.500 0.250 0.750
O 0.500 0.750 0.250
O 0.722 0.000 0.722
O 0.722 0.722 0.000
O 0.750 0.250 0.500
O 0.750 0.500 0.250

The 8 most intense peaks (2θ from 15° to 90°), low angle first:
2θ 28.86, intensity 100.0
2θ 41.27, intensity 26.2
2θ 51.15, intensity 42.5
2θ 59.79, intensity 17.2
2θ 67.73, intensity 19.3
2θ 75.24, intensity 5.8
2θ 82.50, intensity 23.1
2θ 89.64, intensity 2.9

Theoretical X-ray diffraction stick pattern
Compound: U2TlAgO8
Radiation: λ = 1.5418 Å (Cu Kα)
Structure: a DFT-relaxed cell (GGA-PBE, Alexandria)

Structure:
Cell lengths 6.506, 6.506, 6.506 Å; angles 129.65, 129.65, 73.96 degrees
Fractional positions:
U 0.000 0.000 0.000
U 0.750 0.250 0.500
Tl 0.250 0.750 0.500
Ag 0.500 0.500 0.000
O 0.075 0.049 0.415
O 0.085 0.598 0.896
O 0.341 0.925 0.974
O 0.402 0.298 0.488
O 0.633 0.659 0.585
O 0.702 0.190 0.104
O 0.810 0.915 0.512
O 0.951 0.367 0.026

The 8 most intense peaks (2θ from 15° to 90°), low angle first:
2θ 28.55, intensity 100.0
2θ 32.35, intensity 26.7
2θ 46.40, intensity 16.6
2θ 48.03, intensity 30.4
2θ 55.39, intensity 33.0
2θ 58.24, intensity 14.2
2θ 59.10, intensity 11.3
2θ 77.53, intensity 12.2